Diffraction record for Th6BiAu. The powder diffraction line list is computed, not measured: it uses a PBE-relaxed structure and copper Kα.

The 12 most intense peaks (2θ = 10–80°), in order of falling intensity:
2θ/deg, I (rel.), index
29.38, 100, 2 0 0
28.54, 82, 0 4 0
33.84, 82, 1 3 -2
41.42, 60, 2 4 0
26.96, 39, 1 1 -2
45.28, 37, 3 3 -2
45.54, 35, 1 3 2
33.32, 31, 0 2 2
33.15, 31, 2 2 -2
53.43, 30, 2 0 -4
58.20, 30, 1 7 -2
29.82, 28, 2 0 -2

Structure:
```
data_Th6BiAu
_chemical_formula_sum 'Th12 Bi2 Au2'
_space_group_name_H-M_alt 'C 1 2/m 1'
_space_group_IT_number 12
_cell_length_a 7.002
_cell_length_b 12.512
_cell_length_c 6.860
_cell_angle_alpha 90.00
_cell_angle_beta 119.73
_cell_angle_gamma 90.00
loop_
_space_group_symop_operation_xyz
'x,y,z'
'-x,-y,-z'
'-x,y,-z'
'x,-y,z'
'x+1/2,y+1/2,z'
'-x+1/2,-y+1/2,-z'
'-x+1/2,y+1/2,-z'
'x+1/2,-y+1/2,z'
loop_
_atom_site_label
_atom_site_fract_x
_atom_site_fract_y
_atom_site_fract_z
Th1 0.002 0.220 0.243
Th2 0.025 0.500 0.766
Bi1 0.000 0.000 0.500
Au1 0.000 0.000 0.000
```

Diffraction record for CsNa12Sn4. The powder diffraction line list is computed, not measured: it uses a PBE-relaxed structure and copper Kα.

The 12 most intense peaks (2θ = 10–80°), in order of falling intensity:
2θ/deg, I (rel.), index
21.87, 100, 2 2 0
38.36, 78, 4 2 2
15.42, 63, 2 0 0
34.91, 41, 4 0 2
31.12, 39, 4 0 0
60.25, 33, 6 4 2
69.37, 28, 8 2 2
50.19, 26, 6 0 2
24.49, 25, 3 0 1
29.07, 24, 3 1 2
44.59, 21, 4 4 0
10.88, 19, 1 1 0

Structure:
```
data_CsNa12Sn4
_chemical_formula_sum 'Cs2 Na24 Sn8'
_space_group_name_H-M_alt 'I m -3'
_space_group_IT_number 204
_space_group_name_Hall '-I 2 2 3'
_cell_length_a 11.495
_cell_length_b 11.495
_cell_length_c 11.495
_cell_angle_alpha 90.00
_cell_angle_beta 90.00
_cell_angle_gamma 90.00
loop_
_atom_site_label
_atom_site_fract_x
_atom_site_fract_y
_atom_site_fract_z
Cs1 0.000 0.000 0.000
Na1 0.000 0.324 0.199
Sn1 0.250 0.250 0.250
```

Diffraction record for Pm8PrEr5. The powder diffraction line list is computed, not measured: it uses a PBE-relaxed structure and copper Kα.

The 12 most intense peaks (2θ = 10–80°), in order of falling intensity:
2θ/deg, I (rel.), index
33.27, 100, 2 1 3
29.43, 70, 1 3 0
29.21, 65, 3 0 1
27.41, 53, 1 0 3
34.79, 47, 3 2 1
34.22, 39, 1 3 2
31.50, 24, 2 2 2
54.69, 21, 5 0 3
61.73, 20, 1 3 6
55.57, 17, 4 2 4
61.05, 14, 2 6 0
42.10, 14, 4 2 0

Structure:
```
data_Pm8PrEr5
_chemical_formula_sum 'Pm16 Pr2 Er10'
_space_group_name_H-M_alt 'I -4'
_space_group_IT_number 82
_cell_length_a 9.599
_cell_length_b 9.599
_cell_length_c 10.376
_cell_angle_alpha 90.00
_cell_angle_beta 90.00
_cell_angle_gamma 90.00
loop_
_space_group_symop_operation_xyz
'x,y,z'
'y,-x,-z'
'-x,-y,z'
'-y,x,-z'
'x+1/2,y+1/2,z+1/2'
'y+1/2,-x+1/2,-z+1/2'
'-x+1/2,-y+1/2,z+1/2'
'-y+1/2,x+1/2,-z+1/2'
loop_
_atom_site_label
_atom_site_fract_x
_atom_site_fract_y
_atom_site_fract_z
Pm1 0.070 0.175 0.148
Pm2 0.089 0.323 0.498
Pr1 0.000 0.000 0.500
Er1 0.000 0.500 0.250
Er2 0.111 0.295 0.822
```

Diffraction record for TbScBr3. The powder diffraction line list is computed, not measured: it uses a PBE-relaxed structure and copper Kα.

The 12 most intense peaks (2θ = 10–80°), in order of falling intensity:
2θ/deg, I (rel.), index
10.03, 100, 2 0 -1
33.20, 48, 1 1 2
42.31, 35, 7 1 -3
28.89, 31, 1 1 -2
30.35, 26, 4 0 1
24.91, 24, 1 1 -1
40.54, 24, 6 0 -5
43.76, 24, 5 1 1
31.20, 24, 6 0 -1
27.44, 19, 1 1 1
15.62, 17, 2 0 -2
24.37, 16, 1 1 0

Structure:
```
data_TbScBr3
_chemical_formula_sum 'Tb4 Sc4 Br12'
_space_group_name_H-M_alt 'C 1 2/m 1'
_space_group_IT_number 12
_cell_length_a 18.347
_cell_length_b 3.766
_cell_length_c 11.361
_cell_angle_alpha 90.00
_cell_angle_beta 124.99
_cell_angle_gamma 90.00
loop_
_space_group_symop_operation_xyz
'x,y,z'
'-x,-y,-z'
'-x,y,-z'
'x,-y,z'
'x+1/2,y+1/2,z'
'-x+1/2,-y+1/2,-z'
'-x+1/2,y+1/2,-z'
'x+1/2,-y+1/2,z'
loop_
_atom_site_label
_atom_site_fract_x
_atom_site_fract_y
_atom_site_fract_z
Tb1 0.134 0.000 0.281
Sc1 0.066 0.500 0.961
Br1 0.034 0.000 0.755
Br2 0.167 0.500 0.508
Br3 0.204 0.000 0.114
```

Diffraction record for Dy8Y4Sc. The powder diffraction line list is computed, not measured: it uses a PBE-relaxed structure and copper Kα.

The 12 most intense peaks (2θ = 10–80°), in order of falling intensity:
2θ/deg, I (rel.), index
32.87, 100, 2 2 0
23.08, 32, 2 0 2
58.65, 28, 6 0 0
47.18, 18, 4 0 4
58.83, 9, 2 0 8
19.96, 9, 0 0 3
78.43, 8, 6 2 4
78.57, 8, 4 2 8
40.52, 8, 0 4 2
53.09, 7, 4 2 2
53.21, 7, 2 2 6
68.83, 6, 4 4 0

Structure:
```
data_Dy8Y4Sc
_chemical_formula_sum 'Dy24 Y12 Sc3'
_space_group_name_H-M_alt 'R -3 m'
_space_group_IT_number 166
_space_group_name_Hall '-R 3 2"'
_cell_length_a 10.9121
_cell_length_b 10.9121
_cell_length_c 13.3132
_cell_angle_alpha 90.00
_cell_angle_beta 90.00
_cell_angle_gamma 120.00
loop_
_atom_site_label
_atom_site_fract_x
_atom_site_fract_y
_atom_site_fract_z
Dy1 0.0000 0.0000 0.2441
Dy2 0.0069 0.5035 0.7475
Y1 0.0000 0.0000 0.0000
Y2 0.0000 0.5000 0.0000
Sc1 0.0000 0.0000 0.5000
```

Diffraction record for Er4As3Se. The powder diffraction line list is computed, not measured: it uses a PBE-relaxed structure and copper Kα.

The 8 most intense peaks (2θ = 10–80°), in order of falling intensity:
2θ/deg, I (rel.), index
31.07, 100, 2 0 0
44.52, 74, 2 2 0
73.59, 33, 4 2 0
55.28, 26, 2 2 2
26.83, 24, 1 1 1
64.78, 12, 4 0 0
52.74, 12, 3 1 1
71.43, 5, 3 3 1

Structure:
```
data_Er4As3Se
_chemical_formula_sum 'Er4 As3 Se1'
_space_group_name_H-M_alt 'P m -3 m'
_space_group_IT_number 221
_space_group_name_Hall '-P 4 2 3'
_cell_length_a 5.756
_cell_length_b 5.756
_cell_length_c 5.756
_cell_angle_alpha 90.00
_cell_angle_beta 90.00
_cell_angle_gamma 90.00
loop_
_atom_site_label
_atom_site_fract_x
_atom_site_fract_y
_atom_site_fract_z
Er1 0.000 0.000 0.000
Er2 0.000 0.500 0.500
As1 0.000 0.000 0.500
Se1 0.500 0.500 0.500
```